SmMgCu2Ge2: simulated PXRD pattern (Cu Kα (weighted mean of Kα1 and Kα2)), based on a cell relaxed with GGA-PBE.

Atomic structure:
Unit cell a=4.2286 b=4.2286 c=6.9403 alpha=90.00 beta=90.00 gamma=120.00
Space group P-3m1 (No. 164)
Unique sites:
Sm1 0.0000 0.0000 0.0000 [1 per cell]
Mg1 0.0000 0.0000 0.5000 [1 per cell]
Cu1 0.3333 0.6667 0.6870 [2 per cell]
Ge1 0.3333 0.6667 0.2631 [2 per cell]

Top 10 peaks for 2θ = 10–90°, by intensity:
| hkl | 2θ/deg | intensity |
| --- | --- | --- |
| 0 1 2 | 35.64 | 100 |
| 1 1 0 | 42.77 | 69 |
| 0 1 1 | 27.54 | 53 |
| 2 0 2 | 56.85 | 25 |
| 1 2 2 | 73.69 | 23 |
| 1 1 3 | 59.20 | 20 |
| 1 1 4 | 70.17 | 14 |
| 0 0 3 | 38.93 | 12 |
| 3 0 0 | 78.33 | 11 |
| 0 1 5 | 72.88 | 10 |


SmMgCuGe2: simulated PXRD pattern (Cu Kα (weighted mean of Kα1 and Kα2)), based on a cell relaxed with GGA-PBE.

Atomic structure:
Unit cell a=4.1528 b=4.1528 c=11.3121 alpha=90.00 beta=90.00 gamma=90.00
Space group I-4m2 (No. 119)
Unique sites:
Sm1 0.0000 0.0000 0.0000 [2 per cell]
Mg1 0.0000 0.5000 0.2500 [2 per cell]
Cu1 0.0000 0.5000 0.7500 [2 per cell]
Ge1 0.0000 0.0000 0.3890 [4 per cell]

Top 10 peaks for 2θ = 10–90°, by intensity:
| hkl | 2θ/deg | intensity |
| --- | --- | --- |
| 1 1 2 | 34.41 | 100 |
| 1 0 3 | 32.06 | 86 |
| 2 0 0 | 43.59 | 55 |
| 1 0 5 | 45.66 | 53 |
| 1 1 0 | 30.44 | 39 |
| 2 1 3 | 55.13 | 37 |
| 2 1 5 | 64.97 | 37 |
| 3 1 2 | 74.12 | 20 |
| 2 2 0 | 63.35 | 17 |
| 0 0 2 | 15.67 | 15 |


Mn10CuGe5: simulated PXRD pattern (Cu Kα (weighted mean of Kα1 and Kα2)), based on a cell relaxed with GGA-PBE.

Atomic structure:
Unit cell a=9.3957 b=9.3957 c=4.7987 alpha=90.00 beta=90.00 gamma=90.00
Space group I422 (No. 97)
Unique sites:
Mn1 0.0000 0.5000 0.0000 [4 per cell]
Mn2 0.0783 0.2250 0.2533 [16 per cell]
Cu1 0.0000 0.0000 0.0000 [2 per cell]
Ge1 0.0000 0.0000 0.5000 [2 per cell]
Ge2 0.1620 0.3380 0.7500 [8 per cell]

Top 10 peaks for 2θ = 10–90°, by intensity:
| hkl | 2θ/deg | intensity |
| --- | --- | --- |
| 4 1 1 | 43.99 | 100 |
| 4 2 0 | 43.05 | 65 |
| 2 0 2 | 42.30 | 59 |
| 3 2 1 | 39.34 | 42 |
| 2 2 2 | 46.70 | 34 |
| 5 2 1 | 56.09 | 25 |
| 0 0 2 | 37.48 | 22 |
| 4 1 3 | 72.15 | 21 |
| 6 4 2 | 84.64 | 19 |
| 4 0 2 | 54.68 | 14 |


Number 3 is which compound? Mn10CuGe5